No. 1
Calculated powder X-ray diffraction pattern of Y2TmIn3Te6 for Cu Ka, from a structure optimized by DFT (GGA-PBE).
Lines closer than 0.1° are merged.

Crystal structure
Lattice parameters (Å, degrees): 7.622 7.622 8.499 98.60 98.60 120.00
Atoms (fractional coordinates):
Y  0.166  0.834  0.000
Y  0.834  0.166  0.000
Tm  0.500  0.500  0.000
In  0.000  0.000  0.500
In  0.332  0.668  0.500
In  0.668  0.332  0.500
Te  0.097  0.427  0.782
Te  0.243  0.243  0.219
Te  0.427  0.097  0.782
Te  0.573  0.903  0.218
Te  0.757  0.757  0.781
Te  0.903  0.573  0.218

Peak list (12 most intense, 5° ≤ 2θ ≤ 70°, by intensity)
2θ (°)	I (rel.)
27.6	100
37.8	38
41.0	35
50.2	19
66.7	16
62.3	14
57.0	11
44.7	7
66.2	5
10.9	3
34.9	3
47.5	3

No. 2
Calculated powder X-ray diffraction pattern of MnAl3 for Cu Ka, from a structure optimized by DFT (GGA-PBE).
Lines closer than 0.1° are merged.

Crystal structure
Lattice parameters (Å, degrees): 6.251 6.251 6.665 90.00 90.00 90.00
Atoms (fractional coordinates):
Mn  0.139  0.139  0.000
Mn  0.361  0.639  0.500
Mn  0.639  0.361  0.500
Mn  0.861  0.861  0.000
Al  0.000  0.500  0.000
Al  0.000  0.500  0.500
Al  0.164  0.836  0.245
Al  0.164  0.836  0.755
Al  0.336  0.336  0.255
Al  0.336  0.336  0.745
Al  0.500  0.000  0.000
Al  0.500  0.000  0.500
Al  0.664  0.664  0.255
Al  0.664  0.664  0.745
Al  0.836  0.164  0.245
Al  0.836  0.164  0.755

Peak list (12 most intense, 5° ≤ 2θ ≤ 70°, by intensity)
2θ (°)	I (rel.)
42.2	100
19.5	79
45.9	41
24.2	34
43.2	26
45.6	22
39.5	16
55.1	15
67.9	10
58.9	8
40.8	7
62.9	6

No. 3
Calculated powder X-ray diffraction pattern of Tm8SbC4 for Cu Ka, from a structure optimized by DFT (GGA-PBE).
Lines closer than 0.1° are merged.

Crystal structure
Lattice parameters (Å, degrees): 8.707 8.707 11.683 130.06 130.06 23.77
Atoms (fractional coordinates):
Tm  0.042  0.042  0.234
Tm  0.297  0.297  0.433
Tm  0.337  0.337  0.162
Tm  0.367  0.367  0.911
Tm  0.633  0.633  0.089
Tm  0.663  0.663  0.838
Tm  0.703  0.703  0.567
Tm  0.958  0.958  0.766
Sb  0.000  0.000  0.500
C  0.147  0.147  0.958
C  0.333  0.333  0.671
C  0.667  0.667  0.329
C  0.853  0.853  0.042

Peak list (12 most intense, 5° ≤ 2θ ≤ 70°, by intensity)
2θ (°)	I (rel.)
32.6	100
34.0	95
31.6	69
33.2	42
35.5	39
53.2	37
29.4	29
61.2	22
50.9	22
63.8	21
46.7	20
58.8	19

No. 4
Calculated powder X-ray diffraction pattern of MnTl3Te3 for Cu Ka, from a structure optimized by DFT (GGA-PBE).
Lines closer than 0.1° are merged.

Crystal structure
Lattice parameters (Å, degrees): 8.551 13.210 11.035 90.00 129.42 90.00
Atoms (fractional coordinates):
Mn  0.063  0.066  0.410
Mn  0.063  0.434  0.910
Mn  0.937  0.566  0.090
Mn  0.937  0.934  0.590
Tl  0.068  0.672  0.645
Tl  0.068  0.828  0.145
Tl  0.385  0.139  0.871
Tl  0.385  0.361  0.371
Tl  0.390  0.075  0.275
Tl  0.390  0.425  0.775
Tl  0.610  0.575  0.225
Tl  0.610  0.925  0.725
Tl  0.615  0.639  0.629
Tl  0.615  0.861  0.129
Tl  0.932  0.172  0.855
Tl  0.932  0.328  0.355
Te  0.117  0.630  0.976
Te  0.117  0.870  0.476
Te  0.142  0.560  0.394
Te  0.142  0.940  0.894
Te  0.418  0.159  0.577
Te  0.418  0.341  0.077
Te  0.582  0.659  0.923
Te  0.582  0.841  0.423
Te  0.858  0.060  0.106
Te  0.858  0.440  0.606
Te  0.883  0.130  0.524
Te  0.883  0.370  0.024

Peak list (12 most intense, 5° ≤ 2θ ≤ 70°, by intensity)
2θ (°)	I (rel.)
27.8	100
25.9	87
29.0	78
28.7	65
27.0	57
34.3	43
29.9	42
32.4	37
33.9	35
43.0	27
21.9	24
37.7	22

No. 5
Calculated powder X-ray diffraction pattern of Ce3PrTe6 for Cu Ka, from a structure optimized by DFT (GGA-PBE).
Lines closer than 0.1° are merged.

Crystal structure
Lattice parameters (Å, degrees): 7.506 8.448 13.629 90.00 122.95 90.00
Atoms (fractional coordinates):
Ce  0.000  0.000  0.000
Ce  0.000  0.500  0.500
Ce  0.196  0.119  0.748
Ce  0.196  0.381  0.248
Ce  0.804  0.619  0.752
Ce  0.804  0.881  0.252
Pr  0.500  0.000  0.500
Pr  0.500  0.500  0.000
Te  0.076  0.177  0.419
Te  0.076  0.323  0.919
Te  0.256  0.675  0.417
Te  0.256  0.825  0.917
Te  0.416  0.059  0.248
Te  0.416  0.441  0.748
Te  0.584  0.559  0.252
Te  0.584  0.941  0.752
Te  0.744  0.175  0.083
Te  0.744  0.325  0.583
Te  0.924  0.677  0.081
Te  0.924  0.823  0.581

Peak list (12 most intense, 5° ≤ 2θ ≤ 70°, by intensity)
2θ (°)	I (rel.)
34.0	100
40.9	63
28.4	61
28.2	58
27.1	57
32.9	57
40.7	55
25.4	55
31.6	53
26.3	52
27.2	51
26.1	50

No. 6
Calculated powder X-ray diffraction pattern of CeTm3Ir8 for Cu Ka, from a structure optimized by DFT (GGA-PBE).
Lines closer than 0.1° are merged.

Crystal structure
Lattice parameters (Å, degrees): 9.259 9.259 9.259 33.59 33.59 33.59
Atoms (fractional coordinates):
Ce  0.000  0.000  0.000
Tm  0.377  0.377  0.377
Tm  0.501  0.501  0.501
Tm  0.874  0.874  0.874
Ir  0.188  0.188  0.188
Ir  0.437  0.437  0.939
Ir  0.437  0.939  0.437
Ir  0.438  0.938  0.938
Ir  0.688  0.688  0.688
Ir  0.938  0.438  0.938
Ir  0.938  0.938  0.438
Ir  0.939  0.437  0.437

Peak list (8 most intense, 5° ≤ 2θ ≤ 70°, by intensity)
2θ (°)	I (rel.)
39.5	100
41.3	46
64.0	33
33.5	22
20.3	11
59.9	8
48.1	7
52.7	3